# 1
Structure and computed powder diffractogram of ThAl2Ni3 (a crystal structure in the Materials Project, relaxed with PBE; Cu Kα (λ = 1.5418 Å)).
Kinematic intensities with the Lorentz-polarization factor, no thermal factor.

Largest 8 diffraction maxima, low angle first, 2θ = 5–70°:
d 4.620, 19.21 deg, I 35
d 2.938, 30.43 deg, I 100
d 2.667, 33.60 deg, I 25
d 2.310, 38.99 deg, I 58
d 2.184, 41.33 deg, I 75
d 1.587, 58.12 deg, I 33
d 1.469, 63.31 deg, I 27
d 1.428, 65.37 deg, I 19

```
data_ThAl2Ni3
_chemical_formula_sum 'Th1 Al2 Ni3'
_space_group_name_H-M_alt 'P 1'
_space_group_IT_number 1
_cell_length_a 5.3345
_cell_length_b 5.3345
_cell_length_c 3.8068
_cell_angle_alpha 90.00
_cell_angle_beta 90.00
_cell_angle_gamma 120.00
loop_
_space_group_symop_operation_xyz
'x,y,z'
loop_
_atom_site_label
_atom_site_type_symbol
_atom_site_fract_x
_atom_site_fract_y
_atom_site_fract_z
Th1 Th 0.0000 0.0000 0.0000
Al1 Al 0.3333 0.6667 0.0000
Al2 Al 0.6667 0.3333 0.0000
Ni1 Ni 0.0000 0.5000 0.5000
Ni2 Ni 0.5000 0.0000 0.5000
Ni3 Ni 0.5000 0.5000 0.5000
```

=====

# 2
Structure and computed powder diffractogram of LiYPd2 (a crystal structure in the Materials Project, relaxed with PBE; Cu Kα (λ = 1.5418 Å)).
Kinematic intensities with the Lorentz-polarization factor, no thermal factor.

Largest 8 diffraction maxima, low angle first, 2θ = 5–70°:
d 3.853, 23.08 deg, I 19
d 3.337, 26.72 deg, I 19
d 2.359, 38.14 deg, I 100
d 2.012, 45.06 deg, I 9
d 1.926, 47.18 deg, I 5
d 1.668, 55.04 deg, I 17
d 1.492, 62.21 deg, I 7
d 1.362, 68.94 deg, I 34

```
data_LiYPd2
_chemical_formula_sum 'Li1 Y1 Pd2'
_space_group_name_H-M_alt 'P 1'
_space_group_IT_number 1
_cell_length_a 4.7187
_cell_length_b 4.7187
_cell_length_c 4.7187
_cell_angle_alpha 60.00
_cell_angle_beta 60.00
_cell_angle_gamma 60.00
loop_
_space_group_symop_operation_xyz
'x,y,z'
loop_
_atom_site_label
_atom_site_type_symbol
_atom_site_fract_x
_atom_site_fract_y
_atom_site_fract_z
Li1 Li 0.0000 0.0000 0.0000
Y1 Y 0.5000 0.5000 0.5000
Pd1 Pd 0.2500 0.2500 0.2500
Pd2 Pd 0.7500 0.7500 0.7500
```

=====

# 3
Structure and computed powder diffractogram of Na6S2ClO8F (a crystal structure in the Materials Project, relaxed with PBE; Cu Kα (λ = 1.5418 Å)).
Kinematic intensities with the Lorentz-polarization factor, no thermal factor.

Largest 8 diffraction maxima, low angle first, 2θ = 5–70°:
d 3.605, 24.70 deg, I 100
d 3.074, 29.04 deg, I 34
d 2.944, 30.37 deg, I 78
d 2.549, 35.21 deg, I 50
d 2.280, 39.52 deg, I 16
d 1.962, 46.26 deg, I 44
d 1.803, 50.64 deg, I 71
d 1.363, 68.91 deg, I 16

```
data_Na6S2ClO8F
_chemical_formula_sum 'Na6 S2 Cl1 O8 F1'
_space_group_name_H-M_alt 'P 1'
_space_group_IT_number 1
_cell_length_a 7.2101
_cell_length_b 7.2101
_cell_length_c 7.2101
_cell_angle_alpha 60.00
_cell_angle_beta 60.00
_cell_angle_gamma 60.00
loop_
_space_group_symop_operation_xyz
'x,y,z'
loop_
_atom_site_label
_atom_site_type_symbol
_atom_site_fract_x
_atom_site_fract_y
_atom_site_fract_z
Na1 Na 0.2230 0.2230 0.7770
Na2 Na 0.2230 0.7770 0.2230
Na3 Na 0.2230 0.7770 0.7770
Na4 Na 0.7770 0.2230 0.2230
Na5 Na 0.7770 0.2230 0.7770
Na6 Na 0.7770 0.7770 0.2230
S1 S 0.2500 0.2500 0.2500
S2 S 0.7500 0.7500 0.7500
Cl1 Cl 0.5000 0.5000 0.5000
O1 O 0.1654 0.1654 0.1654
O2 O 0.1654 0.1654 0.5039
O3 O 0.1654 0.5039 0.1654
O4 O 0.4961 0.8346 0.8346
O5 O 0.5039 0.1654 0.1654
O6 O 0.8346 0.4961 0.8346
O7 O 0.8346 0.8346 0.4961
O8 O 0.8346 0.8346 0.8346
F1 F 0.0000 0.0000 0.0000
```

=====

# 4
Structure and computed powder diffractogram of Hf2MnRh (a crystal structure in the Materials Project, relaxed with PBE; Cu Kα (λ = 1.5418 Å)).
Kinematic intensities with the Lorentz-polarization factor, no thermal factor.

Largest 8 diffraction maxima, low angle first, 2θ = 5–70°:
d 3.709, 23.99 deg, I 2
d 3.212, 27.77 deg, I 17
d 2.271, 39.68 deg, I 100
d 1.937, 46.90 deg, I 1
d 1.855, 49.12 deg, I 5
d 1.606, 57.37 deg, I 17
d 1.474, 63.07 deg, I 1
d 1.437, 64.91 deg, I 7

```
data_Hf2MnRh
_chemical_formula_sum 'Hf2 Mn1 Rh1'
_space_group_name_H-M_alt 'P 1'
_space_group_IT_number 1
_cell_length_a 4.5429
_cell_length_b 4.5429
_cell_length_c 4.5429
_cell_angle_alpha 60.00
_cell_angle_beta 60.00
_cell_angle_gamma 60.00
loop_
_space_group_symop_operation_xyz
'x,y,z'
loop_
_atom_site_label
_atom_site_type_symbol
_atom_site_fract_x
_atom_site_fract_y
_atom_site_fract_z
Hf1 Hf 0.2500 0.2500 0.2500
Hf2 Hf 0.7500 0.7500 0.7500
Mn1 Mn 0.0000 0.0000 0.0000
Rh1 Rh 0.5000 0.5000 0.5000
```

=====

# 5
Structure and computed powder diffractogram of BaCaPrSbO6 (a crystal structure in the Materials Project, relaxed with PBE; Cu Kα (λ = 1.5418 Å)).
Kinematic intensities with the Lorentz-polarization factor, no thermal factor.

Largest 8 diffraction maxima, low angle first, 2θ = 5–70°:
d 4.853, 18.28 deg, I 11
d 4.203, 21.14 deg, I 4
d 2.972, 30.07 deg, I 100
d 2.534, 35.42 deg, I 5
d 2.426, 37.05 deg, I 10
d 2.101, 43.04 deg, I 32
d 1.716, 53.40 deg, I 40
d 1.486, 62.51 deg, I 19

```
data_BaCaPrSbO6
_chemical_formula_sum 'Ba1 Ca1 Pr1 Sb1 O6'
_space_group_name_H-M_alt 'P 1'
_space_group_IT_number 1
_cell_length_a 5.9436
_cell_length_b 5.9436
_cell_length_c 5.9436
_cell_angle_alpha 60.00
_cell_angle_beta 60.00
_cell_angle_gamma 60.00
loop_
_space_group_symop_operation_xyz
'x,y,z'
loop_
_atom_site_label
_atom_site_type_symbol
_atom_site_fract_x
_atom_site_fract_y
_atom_site_fract_z
Ba1 Ba 0.0000 0.0000 0.0000
Ca1 Ca 0.7500 0.7500 0.7500
Pr1 Pr 0.5000 0.5000 0.5000
Sb1 Sb 0.2500 0.2500 0.2500
O1 O 0.0137 0.0137 0.4863
O2 O 0.0137 0.4863 0.0137
O3 O 0.0137 0.4863 0.4863
O4 O 0.4863 0.0137 0.0137
O5 O 0.4863 0.0137 0.4863
O6 O 0.4863 0.4863 0.0137
```

=====

# 6
Structure and computed powder diffractogram of ThUTe2 (a crystal structure in the Materials Project, relaxed with PBE; Cu Kα (λ = 1.5418 Å)).
Kinematic intensities with the Lorentz-polarization factor, no thermal factor.

Largest 8 diffraction maxima, low angle first, 2θ = 5–70°:
d 3.608, 24.68 deg, I 15
d 3.124, 28.57 deg, I 100
d 2.209, 40.84 deg, I 77
d 1.884, 48.30 deg, I 9
d 1.804, 50.60 deg, I 28
d 1.562, 59.14 deg, I 13
d 1.434, 65.06 deg, I 4
d 1.397, 66.97 deg, I 37

```
data_ThUTe2
_chemical_formula_sum 'Th1 U1 Te2'
_space_group_name_H-M_alt 'P 1'
_space_group_IT_number 1
_cell_length_a 4.4182
_cell_length_b 4.4182
_cell_length_c 6.2504
_cell_angle_alpha 90.00
_cell_angle_beta 90.00
_cell_angle_gamma 90.00
loop_
_space_group_symop_operation_xyz
'x,y,z'
loop_
_atom_site_label
_atom_site_type_symbol
_atom_site_fract_x
_atom_site_fract_y
_atom_site_fract_z
Th1 Th 0.0000 0.0000 0.0000
U1 U 0.5000 0.5000 0.5000
Te1 Te 0.0000 0.0000 0.5000
Te2 Te 0.5000 0.5000 0.0000
```